1.
# ZnAg2
Simulated PXRD pattern, Cu Kα, 1.54184 Å. Input: DFT lattice parameters and positions (GGA-PBE).
Kinematic intensities with the Lorentz-polarization factor, no thermal factor.

Main lines, sorted by position (10° ≤ 2θ ≤ 80°):
2θ (°), I_rel
38.34, 100.0
43.41, 17.3
45.13, 30.9
64.41, 20.0
76.28, 12.0
78.74, 22.3

Structure:
Lattice parameters (Å, degrees): 4.0178 4.0178 25.0118 90.00 90.00 90.00
Space group I4_1/amd (No. 141, origin choice 2)
Asymmetric unit:
1 Zn 0.0000 0.2500 0.2926 x8
2 Ag 0.0000 0.2500 0.1248 x8
3 Ag 0.0000 0.2500 0.7903 x8



2.
# Ag2P
Simulated PXRD pattern, Cu Kα, 1.54184 Å. Input: DFT lattice parameters and positions (GGA-PBE).
Kinematic intensities with the Lorentz-polarization factor, no thermal factor.

Main lines, sorted by position (10° ≤ 2θ ≤ 80°):
2θ (°), I_rel
29.29, 78.1
41.89, 100.0
51.93, 20.2
60.74, 15.7
68.84, 24.8
76.52, 31.5

Structure:
Lattice parameters (Å, degrees): 6.0993 6.0993 6.0993 90.00 90.00 90.00
Space group Fm-3m (No. 225)
Asymmetric unit:
1 Ag 0.2500 0.2500 0.2500 x8
2 P 0.0000 0.0000 0.0000 x4



Repeat the first record exactly.
# ZnAg2
Simulated PXRD pattern, Cu Kα, 1.54184 Å. Input: DFT lattice parameters and positions (GGA-PBE).
Kinematic intensities with the Lorentz-polarization factor, no thermal factor.

Main lines, sorted by position (10° ≤ 2θ ≤ 80°):
2θ (°), I_rel
38.34, 100.0
43.41, 17.3
45.13, 30.9
64.41, 20.0
76.28, 12.0
78.74, 22.3

Structure:
Lattice parameters (Å, degrees): 4.0178 4.0178 25.0118 90.00 90.00 90.00
Space group I4_1/amd (No. 141, origin choice 2)
Asymmetric unit:
1 Zn 0.0000 0.2500 0.2926 x8
2 Ag 0.0000 0.2500 0.1248 x8
3 Ag 0.0000 0.2500 0.7903 x8